This entry pairs a crystal structure of GaNiMo4N2 with its calculated powder diffraction line list. Radiation: CuKα. Structure: a PBE-relaxed structure.

Main lines, by angle (10 to 90 degrees two-theta):
2θ (°), d [Å], I_rel
24.7, 3.605, 7
36.7, 2.449, 20
37.4, 2.404, 22
41.4, 2.182, 100
53.4, 1.715, 15
58.5, 1.577, 6
66.1, 1.414, 18
70.2, 1.341, 11
78.5, 1.219, 15
81.0, 1.187, 13

Cell and atoms:
```
data_GaNiMo4N2
_cell_length_a 2.8278
_cell_length_b 2.8278
_cell_length_c 14.4217
_cell_angle_alpha 90.00
_cell_angle_beta 90.00
_cell_angle_gamma 120.00
_space_group_name_H-M_alt 'P 1'
_space_group_IT_number 1
_space_group_name_Hall 'P 1'
loop_
_atom_site_label
_atom_site_fract_x
_atom_site_fract_y
_atom_site_fract_z
Ga1 0.0000 0.0000 0.0000
Ni1 0.3333 0.6667 0.5000
Mo1 0.0000 0.0000 0.3522
Mo2 0.0000 0.0000 0.6478
Mo3 0.3333 0.6667 0.1551
Mo4 0.3333 0.6667 0.8449
N1 0.6667 0.3333 0.2523
N2 0.6667 0.3333 0.7477
```


This entry pairs a crystal structure of Sc4Ga3Mo2N3 with its calculated powder diffraction line list. Radiation: CuKα. Structure: a PBE-relaxed structure.

Main lines, by angle (10 to 90 degrees two-theta):
2θ (°), d [Å], I_rel
18.8, 4.727, 35
19.2, 4.617, 24
32.7, 2.737, 40
38.4, 2.343, 100
38.5, 2.337, 99
38.7, 2.329, 98
40.4, 2.231, 51
52.8, 1.733, 31
58.2, 1.586, 37
72.1, 1.309, 25

Cell and atoms:
```
data_Sc4Ga3Mo2N3
_cell_length_a 5.4741
_cell_length_b 5.4741
_cell_length_c 13.7363
_cell_angle_alpha 101.21
_cell_angle_beta 101.21
_cell_angle_gamma 60.38
_space_group_name_H-M_alt 'P 1'
_space_group_IT_number 1
_space_group_name_Hall 'P 1'
loop_
_atom_site_label
_atom_site_fract_x
_atom_site_fract_y
_atom_site_fract_z
Sc1 0.0306 0.1968 0.0943
Sc2 0.1341 0.3037 0.4057
Sc3 0.1968 0.0306 0.5943
Sc4 0.3037 0.1341 0.9057
Sc5 0.6963 0.8659 0.0943
Sc6 0.8032 0.9694 0.4057
Sc7 0.8659 0.6963 0.5943
Sc8 0.9694 0.8032 0.9057
Ga1 0.1313 0.8687 0.2500
Ga2 0.2998 0.4149 0.7504
Ga3 0.4149 0.2998 0.2504
Ga4 0.5851 0.7002 0.7496
Ga5 0.7002 0.5851 0.2496
Ga6 0.8687 0.1313 0.7500
Mo1 0.3555 0.5255 0.0780
Mo2 0.4745 0.6445 0.4220
Mo3 0.5255 0.3555 0.5780
Mo4 0.6445 0.4745 0.9220
N1 0.0000 0.5000 0.0000
N2 0.1594 0.6701 0.5000
N3 0.3299 0.8406 0.0000
N4 0.5000 0.0000 0.5000
N5 0.6701 0.1594 0.0000
N6 0.8406 0.3299 0.5000
```


This entry pairs a crystal structure of Ga3Mo4W2N3 with its calculated powder diffraction line list. Radiation: CuKα. Structure: a PBE-relaxed structure.

Main lines, by angle (10 to 90 degrees two-theta):
2θ (°), d [Å], I_rel
20.9, 4.252, 10
24.4, 3.643, 14
36.1, 2.486, 23
37.0, 2.428, 39
40.8, 2.213, 100
41.1, 2.196, 53
52.6, 1.739, 9
64.7, 1.440, 10
65.4, 1.426, 18
77.6, 1.231, 10

Cell and atoms:
```
data_Ga3Mo4W2N3
_cell_length_a 4.9724
_cell_length_b 4.9724
_cell_length_c 14.8443
_cell_angle_alpha 99.56
_cell_angle_beta 99.56
_cell_angle_gamma 59.36
_space_group_name_H-M_alt 'P 1'
_space_group_IT_number 1
_space_group_name_Hall 'P 1'
loop_
_atom_site_label
_atom_site_fract_x
_atom_site_fract_y
_atom_site_fract_z
Ga1 0.0829 0.9171 0.7500
Ga2 0.2478 0.4178 0.2504
Ga3 0.4178 0.2478 0.7504
Ga4 0.5822 0.7522 0.2496
Ga5 0.7522 0.5822 0.7496
Ga6 0.9171 0.0829 0.2500
Mo1 0.0279 0.1995 0.5974
Mo2 0.1295 0.3073 0.9028
Mo3 0.1995 0.0279 0.0974
Mo4 0.3073 0.1295 0.4028
Mo5 0.6927 0.8705 0.5972
Mo6 0.8005 0.9721 0.9026
Mo7 0.8705 0.6927 0.0972
Mo8 0.9721 0.8005 0.4026
W1 0.3573 0.5350 0.5969
W2 0.4650 0.6427 0.9031
W3 0.5350 0.3573 0.0969
W4 0.6427 0.4650 0.4031
N1 0.0000 0.5000 0.5000
N2 0.1764 0.6621 0.9998
N3 0.3379 0.8236 0.5002
N4 0.5000 0.0000 0.0000
N5 0.6621 0.1764 0.4998
N6 0.8236 0.3379 0.0002
```


Number 1 is which compound?
GaNiMo4N2